Theoretical X-ray powder pattern of Hg2C2N2O for Cu Kα (weighted mean of Kα1 and Kα2), from a cell relaxed with GGA-PBE.
Neutral-atom scattering factors, no anomalous dispersion.

Crystal structure
a b c (Å): 19.064 3.868 7.045
angles (deg): 90.00 90.00 90.00
Space group Pnma (No. 62)
Unique sites:
Hg (0.023, 0.250, 0.205)
Hg (0.154, 0.750, 0.879)
C (0.076, 0.250, 0.456)
C (0.248, 0.750, 0.743)
N (0.101, 0.250, 0.608)
N (0.201, 0.250, 0.153)
O (0.057, 0.750, 0.001)

Peak list (8 most intense, 10° ≤ 2θ ≤ 80°, low angle first)
two_theta	Rel. int.	index
13.4	709	1 0 1
22.5	410	4 0 1
26.3	1000	0 1 1
29.7	333	4 1 0
30.9	284	6 0 1
34.7	722	5 0 2
35.4	284	5 1 1
38.8	356	6 1 1